Calculated powder X-ray diffraction pattern of MgV6H6O18 for Cu Kα X-rays, from DFT lattice parameters and positions (PBE+U).

Crystal structure
Lattice parameters (Å, degrees): 5.2119 8.9445 8.5267 90.00 105.37 90.00
Fractional positions:
1 Mg 0.0000 0.0000 0.0000
2 V 0.1838 0.5000 0.7454
3 V 0.4165 0.2063 0.5284
4 V 0.4165 0.7937 0.5284
5 V 0.7498 0.3075 0.8642
6 V 0.7498 0.6925 0.8642
7 V 0.9553 0.0000 0.6251
8 H 0.4981 0.0861 0.0943
9 H 0.4981 0.9139 0.0943
10 H 0.5080 0.0000 0.3378
11 H 0.5916 0.4085 0.2877
12 H 0.5916 0.5915 0.2877
13 H 0.6531 0.5000 0.1229
14 O 0.0777 0.3499 0.8892
15 O 0.0777 0.6501 0.8892
16 O 0.0916 0.1450 0.4981
17 O 0.0916 0.8550 0.4981
18 O 0.1668 0.0000 0.8129
19 O 0.4070 0.0000 0.1320
20 O 0.4233 0.3473 0.6926
21 O 0.4233 0.6527 0.6926
22 O 0.4433 0.2938 0.3623
23 O 0.4433 0.7062 0.3623
24 O 0.5434 0.0000 0.4590
25 O 0.6513 0.5000 0.9397
26 O 0.6751 0.5000 0.2467
27 O 0.7348 0.1615 0.6935
28 O 0.7348 0.8385 0.6935
29 O 0.7566 0.1761 0.0138
30 O 0.7566 0.8239 0.0138
31 O 0.9203 0.5000 0.5920

Principal peaks in the range 2θ from 15° to 90°, by intensity:
27.0°, I = 100; 23.8°, I = 45; 23.1°, I = 43; 26.7°, I = 28; 45.0°, I = 21; 18.1°, I = 21; 31.4°, I = 20; 29.5°, I = 18; 37.2°, I = 17; 42.8°, I = 16